For TmAgTeS, a GGA-PBE-relaxed structure gives the calculated powder XRD pattern in this record (CuKα).
Lines closer than 0.1° are merged.

```
data_TmAgTeS
_chemical_formula_sum 'Tm1 Ag1 Te1 S1'
_cell_length_a 4.5622
_cell_length_b 4.5622
_cell_length_c 6.2266
_cell_angle_alpha 90.00
_cell_angle_beta 90.00
_cell_angle_gamma 120.00
_space_group_name_H-M_alt 'P 3 m 1'
_space_group_IT_number 156
_space_group_name_Hall 'P 3 -2"'
loop_
_atom_site_label
_atom_site_fract_x
_atom_site_fract_y
_atom_site_fract_z
Tm1 0.0000 0.0000 0.0000
Ag1 0.3333 0.6667 0.3355
Te1 0.0000 0.0000 0.4809
S1 0.3333 0.6667 0.9268
```

Main lines, in order of falling intensity (10° ≤ 2θ ≤ 80°):
2theta	I_rel	(hkl)
22.50	100	1 0 0
36.75	95	1 0 2
39.51	69	1 1 0
49.55	38	1 1 2
55.06	29	0 2 2
69.86	28	2 1 2
28.67	26	0 0 2
26.72	20	0 1 1

---

For ScTl2Pd9, a GGA-PBE-relaxed structure gives the calculated powder XRD pattern in this record (CuKα).
Lines closer than 0.1° are merged.

```
data_ScTl2Pd9
_chemical_formula_sum 'Sc1 Tl2 Pd9'
_cell_length_a 4.0441
_cell_length_b 4.0441
_cell_length_c 12.2823
_cell_angle_alpha 90.00
_cell_angle_beta 90.00
_cell_angle_gamma 90.00
_space_group_name_H-M_alt 'P 4/m m m'
_space_group_IT_number 123
_space_group_name_Hall '-P 4 2'
loop_
_atom_site_label
_atom_site_fract_x
_atom_site_fract_y
_atom_site_fract_z
Sc1 0.0000 0.0000 0.0000
Tl1 0.0000 0.0000 0.3333
Pd1 0.0000 0.5000 0.1605
Pd2 0.0000 0.5000 0.5000
Pd3 0.5000 0.5000 0.0000
Pd4 0.5000 0.5000 0.3287
```

Main lines, in order of falling intensity (10° ≤ 2θ ≤ 80°):
2theta	I_rel	(hkl)
38.40	100	1 1 3
44.82	32	2 0 0
78.33	24	3 1 3
64.81	21	2 0 6
44.25	16	0 0 6
77.50	12	1 1 9
65.26	10	2 2 0
23.16	5	1 0 1

---

For CsRb2CaF5, a GGA-PBE-relaxed structure gives the calculated powder XRD pattern in this record (CuKα).
Lines closer than 0.1° are merged.

```
data_CsRb2CaF5
_chemical_formula_sum 'Cs2 Rb4 Ca2 F10'
_cell_length_a 4.4746
_cell_length_b 6.6711
_cell_length_c 13.3715
_cell_angle_alpha 90.00
_cell_angle_beta 90.00
_cell_angle_gamma 90.00
_space_group_name_H-M_alt 'I m m m'
_space_group_IT_number 71
_space_group_name_Hall '-I 2 2'
loop_
_atom_site_label
_atom_site_fract_x
_atom_site_fract_y
_atom_site_fract_z
Cs1 0.0000 0.0000 0.0000
Rb1 0.0000 0.5000 0.2159
Ca1 0.0000 0.0000 0.5000
F1 0.0000 0.2334 0.3750
F2 0.0000 0.5000 0.0000
```

Main lines, in order of falling intensity (10° ≤ 2θ ≤ 80°):
2theta	I_rel	(hkl)
27.46	100	1 1 2
26.70	37	0 2 0
38.11	31	0 2 4
47.63	30	1 3 2
34.19	23	1 2 1
24.01	23	0 1 3
39.25	20	1 0 5
56.68	18	2 2 4

---

For Ho2ZrSc3, a GGA-PBE-relaxed structure gives the calculated powder XRD pattern in this record (CuKα).
Lines closer than 0.1° are merged.

```
data_Ho2ZrSc3
_chemical_formula_sum 'Ho8 Zr4 Sc12'
_cell_length_a 4.6712
_cell_length_b 14.1954
_cell_length_c 9.4746
_cell_angle_alpha 90.00
_cell_angle_beta 90.00
_cell_angle_gamma 90.00
_space_group_name_H-M_alt 'I m m a'
_space_group_IT_number 74
_space_group_name_Hall '-I 2b 2'
loop_
_atom_site_label
_atom_site_fract_x
_atom_site_fract_y
_atom_site_fract_z
Ho1 0.0000 0.0865 0.1209
Zr1 0.0000 0.2500 0.8648
Sc1 0.0000 0.0926 0.6312
Sc2 0.0000 0.2500 0.3837
```

Main lines, in order of falling intensity (10° ≤ 2θ ≤ 80°):
2theta	I_rel	(hkl)
32.92	100	1 3 2
38.01	33	0 0 4
65.46	25	1 3 6
55.25	22	2 6 0
21.21	20	1 0 1
20.99	20	0 3 1
38.55	16	2 0 0
66.19	14	3 3 2

---

For Pr5Cd2Pb, a GGA-PBE-relaxed structure gives the calculated powder XRD pattern in this record (CuKα).
Lines closer than 0.1° are merged.

```
data_Pr5Cd2Pb
_chemical_formula_sum 'Pr20 Cd8 Pb4'
_cell_length_a 8.1568
_cell_length_b 8.1568
_cell_length_c 15.5107
_cell_angle_alpha 90.00
_cell_angle_beta 90.00
_cell_angle_gamma 90.00
_space_group_name_H-M_alt 'I 4/m c m'
_space_group_IT_number 140
_space_group_name_Hall '-I 4 2c'
loop_
_atom_site_label
_atom_site_fract_x
_atom_site_fract_y
_atom_site_fract_z
Pr1 0.0000 0.0000 0.0000
Pr2 0.1603 0.3397 0.1542
Cd1 0.1287 0.3713 0.5000
Pb1 0.0000 0.0000 0.2500
```

Main lines, in order of falling intensity (10° ≤ 2θ ≤ 80°):
2theta	I_rel	(hkl)
29.98	100	2 1 3
34.77	69	3 1 0
31.84	33	2 0 4
27.72	22	1 1 4
64.06	14	5 2 3
31.01	13	2 2 0
53.17	12	3 3 4
57.58	11	4 0 6

---

For Na3Ce3PrSe8, a GGA-PBE-relaxed structure gives the calculated powder XRD pattern in this record (CuKα).
Lines closer than 0.1° are merged.

```
data_Na3Ce3PrSe8
_chemical_formula_sum 'Na9 Ce9 Pr3 Se24'
_cell_length_a 8.5821
_cell_length_b 8.5821
_cell_length_c 20.8097
_cell_angle_alpha 90.00
_cell_angle_beta 90.00
_cell_angle_gamma 120.00
_space_group_name_H-M_alt 'R -3 m'
_space_group_IT_number 166
_space_group_name_Hall '-R 3 2"'
loop_
_atom_site_label
_atom_site_fract_x
_atom_site_fract_y
_atom_site_fract_z
Na1 0.0000 0.5000 0.0000
Ce1 0.0000 0.5000 0.5000
Pr1 0.0000 0.0000 0.5000
Se1 0.0000 0.0000 0.2450
Se2 0.0057 0.5028 0.7564
```

Main lines, in order of falling intensity (10° ≤ 2θ ≤ 80°):
2theta	I_rel	(hkl)
29.54	100	0 2 4
12.76	47	0 0 3
42.12	38	2 2 0
42.42	36	2 0 8
24.33	22	0 2 1
52.28	20	4 0 4
69.29	17	2 4 4
69.72	15	2 2 12

---

For UReC, a GGA-PBE-relaxed structure gives the calculated powder XRD pattern in this record (CuKα).
Lines closer than 0.1° are merged.

```
data_UReC
_chemical_formula_sum 'U1 Re1 C1'
_cell_length_a 3.7518
_cell_length_b 3.7518
_cell_length_c 3.7244
_cell_angle_alpha 90.00
_cell_angle_beta 90.00
_cell_angle_gamma 120.00
_space_group_name_H-M_alt 'P -6 m 2'
_space_group_IT_number 187
_space_group_name_Hall 'P -6 2'
loop_
_atom_site_label
_atom_site_fract_x
_atom_site_fract_y
_atom_site_fract_z
U1 0.0000 0.0000 0.0000
Re1 0.6667 0.3333 0.5000
C1 0.3333 0.6667 0.5000
```

Main lines, in order of falling intensity (10° ≤ 2θ ≤ 80°):
2theta	I_rel	(hkl)
36.71	100	1 0 1
27.45	32	1 0 0
48.53	32	1 1 0
62.36	22	2 0 1
71.37	21	1 1 2
48.91	10	0 0 2
57.00	9	1 0 2
56.66	5	2 0 0

---

For Ca2TeHO6, a GGA-PBE-relaxed structure gives the calculated powder XRD pattern in this record (CuKα).
Lines closer than 0.1° are merged.

```
data_Ca2TeHO6
_chemical_formula_sum 'Ca2 Te1 H1 O6'
_cell_length_a 5.6574
_cell_length_b 5.7452
_cell_length_c 6.2182
_cell_angle_alpha 63.57
_cell_angle_beta 63.72
_cell_angle_gamma 61.74
_space_group_name_H-M_alt 'P 1'
_space_group_IT_number 1
_space_group_name_Hall 'P 1'
loop_
_atom_site_label
_atom_site_fract_x
_atom_site_fract_y
_atom_site_fract_z
Ca1 0.0000 0.0000 0.0000
Ca2 0.4776 0.4650 0.5673
Te1 0.7966 0.7755 0.6260
H1 0.0466 0.1505 0.3808
O1 0.0381 0.7282 0.7889
O2 0.1213 0.6174 0.3705
O3 0.4556 0.0186 0.7837
O4 0.6448 0.8428 0.3645
O5 0.7179 0.4405 0.8113
O6 0.8804 0.1511 0.3674
```

Main lines, in order of falling intensity (10° ≤ 2θ ≤ 80°):
2theta	I_rel	(hkl)
16.66	100	0 0 1
18.63	64	1 0 0
18.37	59	0 1 0
19.02	56	1 1 1
28.42	28	0 1 -1
46.12	28	-1 1 2
28.99	27	1 1 2
30.56	27	1 -1 0

---

For TiZnRh3, a GGA-PBE-relaxed structure gives the calculated powder XRD pattern in this record (CuKα).
Lines closer than 0.1° are merged.

```
data_TiZnRh3
_chemical_formula_sum 'Ti2 Zn2 Rh6'
_cell_length_a 6.3850
_cell_length_b 6.3850
_cell_length_c 4.4429
_cell_angle_alpha 90.00
_cell_angle_beta 90.00
_cell_angle_gamma 120.00
_space_group_name_H-M_alt 'P 63/m m c'
_space_group_IT_number 194
_space_group_name_Hall '-P 6c 2c'
loop_
_atom_site_label
_atom_site_fract_x
_atom_site_fract_y
_atom_site_fract_z
Ti1 0.3333 0.6667 0.2500
Zn1 0.0000 0.0000 0.0000
Rh1 0.1975 0.3950 0.7500
```

Main lines, in order of falling intensity (10° ≤ 2θ ≤ 80°):
2theta	I_rel	(hkl)
38.35	100	2 0 1
43.29	44	2 1 0
25.72	34	1 0 1
52.87	29	2 0 2
53.85	22	3 0 1
57.76	19	2 2 0
40.61	16	0 0 2
72.39	15	2 0 3

---

For NaP2S6, a GGA-PBE-relaxed structure gives the calculated powder XRD pattern in this record (CuKα).
Lines closer than 0.1° are merged.

```
data_NaP2S6
_chemical_formula_sum 'Na4 P8 S24'
_cell_length_a 14.8244
_cell_length_b 14.0501
_cell_length_c 5.6533
_cell_angle_alpha 90.00
_cell_angle_beta 105.81
_cell_angle_gamma 90.00
_space_group_name_H-M_alt 'C 1 2/c 1'
_space_group_IT_number 15
_space_group_name_Hall '-C 2yc'
loop_
_atom_site_label
_atom_site_fract_x
_atom_site_fract_y
_atom_site_fract_z
Na1 0.0000 0.0888 0.2500
P1 0.2430 0.0750 0.8232
S1 0.1054 0.0915 0.7606
S2 0.1807 0.3119 0.0227
S3 0.2038 0.4444 0.4885
```

Main lines, in order of falling intensity (10° ≤ 2θ ≤ 80°):
2theta	I_rel	(hkl)
12.41	100	2 0 0
12.60	39	0 2 0
20.65	35	0 2 1
32.44	32	1 1 -2
17.00	24	1 1 -1
34.57	20	2 4 1
52.90	18	6 4 1
19.71	17	3 1 0

---

For K4Pa3CuSe8, a GGA-PBE-relaxed structure gives the calculated powder XRD pattern in this record (CuKα).
Lines closer than 0.1° are merged.

```
data_K4Pa3CuSe8
_chemical_formula_sum 'K8 Pa6 Cu2 Se16'
_cell_length_a 14.4722
_cell_length_b 8.3129
_cell_length_c 9.1343
_cell_angle_alpha 90.00
_cell_angle_beta 121.91
_cell_angle_gamma 90.00
_space_group_name_H-M_alt 'C 1 2/m 1'
_space_group_IT_number 12
_space_group_name_Hall '-C 2y'
loop_
_atom_site_label
_atom_site_fract_x
_atom_site_fract_y
_atom_site_fract_z
K1 0.0000 0.0000 0.0000
K2 0.0000 0.5000 0.0000
K3 0.2500 0.2500 0.0000
Pa1 0.0000 0.0000 0.5000
Pa2 0.2500 0.2500 0.5000
Cu1 0.0000 0.5000 0.5000
Se1 0.0153 0.2535 0.2985
Se2 0.2348 0.5000 0.7044
Se3 0.2369 0.0000 0.7117
```

Main lines, in order of falling intensity (10° ≤ 2θ ≤ 80°):
2theta	I_rel	(hkl)
29.12	100	4 0 0
11.41	71	0 0 1
39.81	36	2 2 2
43.37	24	6 2 -2
36.77	23	2 2 -3
24.97	17	4 0 -1
49.99	13	4 0 -5
53.22	12	4 4 0

---

For Be2NiH6, a GGA-PBE-relaxed structure gives the calculated powder XRD pattern in this record (CuKα).
Lines closer than 0.1° are merged.

```
data_Be2NiH6
_chemical_formula_sum 'Be8 Ni4 H24'
_cell_length_a 5.7143
_cell_length_b 5.7143
_cell_length_c 5.7143
_cell_angle_alpha 90.00
_cell_angle_beta 90.00
_cell_angle_gamma 90.00
_space_group_name_H-M_alt 'F m -3 m'
_space_group_IT_number 225
_space_group_name_Hall '-F 4 2 3'
loop_
_atom_site_label
_atom_site_fract_x
_atom_site_fract_y
_atom_site_fract_z
Be1 0.2500 0.2500 0.2500
Ni1 0.0000 0.0000 0.0000
H1 0.0000 0.0000 0.2789
```

Main lines, in order of falling intensity (10° ≤ 2θ ≤ 80°):
2theta	I_rel	(hkl)
27.03	100	1 1 1
44.86	51	2 2 0
53.16	45	3 1 1
31.31	40	2 0 0
72.04	17	3 3 1
74.22	10	4 2 0
65.32	9	4 0 0
55.72	7	2 2 2

---

For KLiNd2Se4, a GGA-PBE-relaxed structure gives the calculated powder XRD pattern in this record (CuKα).
Lines closer than 0.1° are merged.

```
data_KLiNd2Se4
_chemical_formula_sum 'K4 Li4 Nd8 Se16'
_cell_length_a 4.3130
_cell_length_b 14.3583
_cell_length_c 14.9113
_cell_angle_alpha 90.00
_cell_angle_beta 90.00
_cell_angle_gamma 90.00
_space_group_name_H-M_alt 'C m c m'
_space_group_IT_number 63
_space_group_name_Hall '-C 2c 2'
loop_
_atom_site_label
_atom_site_fract_x
_atom_site_fract_y
_atom_site_fract_z
K1 0.0000 0.1078 0.2500
Li1 0.0000 0.1626 0.7500
Nd1 0.0000 0.3659 0.0617
Se1 0.0000 0.0000 0.0000
Se2 0.0000 0.2643 0.6115
Se3 0.0000 0.4301 0.2500
```

Main lines, in order of falling intensity (10° ≤ 2θ ≤ 80°):
2theta	I_rel	(hkl)
41.92	100	2 0 0
28.49	62	1 3 1
30.36	61	1 3 2
11.87	52	0 0 2
27.85	42	1 3 0
37.18	38	1 1 5
26.95	38	0 2 4
21.75	36	0 2 3